For Tl3InGa2, a GGA-PBE-relaxed structure gives the simulated XRD peak list in this record (a wavelength of 1.5418 Å).

Peak list (8 most intense, 10° ≤ 2θ ≤ 90°, by angle)
- 2θ = 31.29°, rel. 62
- 2θ = 33.20°, rel. 100
- 2θ = 33.73°, rel. 47
- 2θ = 34.08°, rel. 41
- 2θ = 35.50°, rel. 19
- 2θ = 37.02°, rel. 37
- 2θ = 56.88°, rel. 19
- 2θ = 67.44°, rel. 26

Structure:
Unit cell a=9.3957 b=6.4786 c=12.3431 alpha=90.00 beta=120.54 gamma=90.00
Atoms (fractional coordinates):
1 Tl 0.1388 0.2494 0.3556
2 Tl 0.1388 0.2506 0.8556
3 Tl 0.1900 0.9995 0.6340
4 Tl 0.1900 0.5005 0.1340
5 Tl 0.1901 0.5024 0.6336
6 Tl 0.1901 0.9976 0.1336
7 Tl 0.8100 0.0005 0.3660
8 Tl 0.8099 0.0024 0.8664
9 Tl 0.8099 0.4976 0.3664
10 Tl 0.8100 0.4995 0.8660
11 Tl 0.8612 0.7494 0.1444
12 Tl 0.8612 0.7506 0.6444
13 In 0.5002 0.2470 0.1162
14 In 0.5002 0.2530 0.6162
15 In 0.4998 0.7470 0.3838
16 In 0.4998 0.7530 0.8838
17 Ga 0.1970 0.7500 0.4034
18 Ga 0.1970 0.7500 0.9034
19 Ga 0.4970 0.2471 0.3661
20 Ga 0.4970 0.2529 0.8661
21 Ga 0.5030 0.7471 0.1339
22 Ga 0.5030 0.7529 0.6339
23 Ga 0.8030 0.2500 0.0966
24 Ga 0.8030 0.2500 0.5966

For LaDyNi2Ge2, a GGA-PBE-relaxed structure gives the simulated XRD peak list in this record (a wavelength of 1.5418 Å).

Peak list (8 most intense, 10° ≤ 2θ ≤ 90°, by angle)
- 2θ = 24.01°, rel. 17
- 2θ = 34.17°, rel. 100
- 2θ = 42.23°, rel. 51
- 2θ = 49.02°, rel. 8
- 2θ = 55.38°, rel. 31
- 2θ = 66.66°, rel. 18
- 2θ = 72.03°, rel. 25
- 2θ = 77.21°, rel. 8

Structure:
Unit cell a=4.2799 b=4.2799 c=7.4328 alpha=90.00 beta=90.00 gamma=120.00
Atoms (fractional coordinates):
1 La 0.0000 0.0000 0.0000
2 Dy 0.0000 0.0000 0.5000
3 Ni 0.3333 0.6667 0.7072
4 Ni 0.6667 0.3333 0.2928
5 Ge 0.3333 0.6667 0.2750
6 Ge 0.6667 0.3333 0.7250

For U2GeSb, a GGA-PBE-relaxed structure gives the simulated XRD peak list in this record (a wavelength of 1.5418 Å).

Peak list (8 most intense, 10° ≤ 2θ ≤ 90°, by angle)
- 2θ = 25.59°, rel. 16
- 2θ = 34.38°, rel. 100
- 2θ = 36.51°, rel. 43
- 2θ = 46.08°, rel. 11
- 2θ = 52.59°, rel. 15
- 2θ = 60.17°, rel. 20
- 2θ = 64.35°, rel. 34
- 2θ = 72.47°, rel. 12

Structure:
Unit cell a=4.9224 b=4.9224 c=3.9395 alpha=90.00 beta=90.00 gamma=90.00
Atoms (fractional coordinates):
1 U 0.0000 0.5000 0.0000
2 U 0.5000 0.0000 0.0000
3 Ge 0.0000 0.0000 0.5000
4 Sb 0.5000 0.5000 0.5000

For YHg3H, a GGA-PBE-relaxed structure gives the simulated XRD peak list in this record (a wavelength of 1.5418 Å).

Peak list (8 most intense, 10° ≤ 2θ ≤ 90°, by angle)
- 2θ = 18.95°, rel. 7
- 2θ = 26.92°, rel. 6
- 2θ = 33.13°, rel. 100
- 2θ = 38.44°, rel. 51
- 2θ = 55.50°, rel. 35
- 2θ = 66.18°, rel. 42
- 2θ = 69.53°, rel. 12
- 2θ = 82.36°, rel. 6

Structure:
Unit cell a=4.6832 b=4.6832 c=4.6832 alpha=90.00 beta=90.00 gamma=90.00
Atoms (fractional coordinates):
1 Y 0.0000 0.0000 0.0000
2 Hg 0.0000 0.5000 0.5000
3 Hg 0.5000 0.0000 0.5000
4 Hg 0.5000 0.5000 0.0000
5 H 0.5000 0.5000 0.5000

For LaTb4Ho4, a GGA-PBE-relaxed structure gives the simulated XRD peak list in this record (a wavelength of 1.5418 Å).

Peak list (8 most intense, 10° ≤ 2θ ≤ 90°, by angle)
- 2θ = 30.69°, rel. 100
- 2θ = 35.55°, rel. 34
- 2θ = 35.66°, rel. 17
- 2θ = 51.21°, rel. 36
- 2θ = 60.85°, rel. 29
- 2θ = 61.00°, rel. 14
- 2θ = 63.92°, rel. 12
- 2θ = 83.57°, rel. 12

Structure:
Unit cell a=7.9825 b=7.9825 c=7.9825 alpha=95.71 beta=95.71 gamma=143.23
Atoms (fractional coordinates):
1 La 0.0000 0.0000 0.0000
2 Tb 0.0000 0.3344 0.3344
3 Tb 0.0000 0.6656 0.6656
4 Tb 0.3344 0.0000 0.3344
5 Tb 0.6656 0.0000 0.6656
6 Ho 0.3316 0.3316 0.6632
7 Ho 0.3316 0.6684 0.0000
8 Ho 0.6684 0.3316 0.0000
9 Ho 0.6684 0.6684 0.3368

For PrNdPd3, a GGA-PBE-relaxed structure gives the simulated XRD peak list in this record (a wavelength of 1.5418 Å).

Peak list (8 most intense, 10° ≤ 2θ ≤ 90°, by angle)
- 2θ = 33.78°, rel. 43
- 2θ = 33.99°, rel. 100
- 2θ = 35.64°, rel. 31
- 2θ = 35.98°, rel. 21
- 2θ = 40.06°, rel. 15
- 2θ = 44.82°, rel. 43
- 2θ = 65.24°, rel. 13
- 2θ = 75.70°, rel. 22

Structure:
Unit cell a=7.0355 b=8.0099 c=8.0846 alpha=90.00 beta=90.00 gamma=90.00
Atoms (fractional coordinates):
1 Pr 0.2175 0.1367 0.0000
2 Pr 0.2825 0.6367 0.5000
3 Pr 0.7175 0.3633 0.5000
4 Pr 0.7825 0.8633 0.0000
5 Nd 0.2170 0.1364 0.5000
6 Nd 0.2830 0.6364 0.0000
7 Nd 0.7170 0.3636 0.0000
8 Nd 0.7830 0.8636 0.5000
9 Pd 0.0000 0.5000 0.2469
10 Pd 0.0000 0.5000 0.7531
11 Pd 0.1163 0.8568 0.2502
12 Pd 0.1163 0.8568 0.7498
13 Pd 0.3837 0.3568 0.2498
14 Pd 0.3837 0.3568 0.7502
15 Pd 0.5000 0.0000 0.2531
16 Pd 0.5000 0.0000 0.7469
17 Pd 0.6163 0.6432 0.2498
18 Pd 0.6163 0.6432 0.7502
19 Pd 0.8837 0.1432 0.2502
20 Pd 0.8837 0.1432 0.7498